[1]
Starting from DFT lattice parameters and positions (PBE), the XRD peak list of Th4C2Se5 was computed for λ = 1.5418 Å (Cu Kα).
No peak broadening, texture or thermal motion is included.

Largest 10 diffraction maxima, by angle, 2θ = 10–80°:
- 12.61°, rel. 23
- 19.17°, rel. 33
- 25.39°, rel. 24
- 26.44°, rel. 67
- 30.78°, rel. 58
- 32.19°, rel. 100
- 38.49°, rel. 30
- 41.21°, rel. 73
- 43.59°, rel. 25
- 54.31°, rel. 24

Unit cell a=9.743 b=9.743 c=9.743 alpha=155.39 beta=133.67 gamma=53.16
Fractional positions:
Th (0.180, 0.180, 0.000)
Th (0.221, 0.500, 0.721)
Th (0.779, 0.500, 0.279)
Th (0.820, 0.820, 0.000)
C (0.040, 0.040, 0.000)
C (0.960, 0.960, 0.000)
Se (0.103, 0.333, 0.770)
Se (0.437, 0.667, 0.770)
Se (0.500, 0.000, 0.500)
Se (0.563, 0.333, 0.230)
Se (0.897, 0.667, 0.230)

***

[2]
Starting from DFT lattice parameters and positions (PBE), the XRD peak list of Tb4Ga2Cl5 was computed for λ = 1.5418 Å (Cu Kα).
No peak broadening, texture or thermal motion is included.

Largest 10 diffraction maxima, by angle, 2θ = 10–80°:
- 11.18°, rel. 100
- 12.06°, rel. 18
- 23.57°, rel. 25
- 26.15°, rel. 22
- 29.61°, rel. 28
- 32.18°, rel. 16
- 33.49°, rel. 42
- 35.35°, rel. 23
- 43.03°, rel. 17
- 46.83°, rel. 16

Unit cell a=11.807 b=11.807 c=8.136 alpha=103.31 beta=103.31 gamma=18.61
Fractional positions:
Tb (0.015, 0.015, 0.273)
Tb (0.338, 0.338, 0.538)
Tb (0.662, 0.662, 0.462)
Tb (0.985, 0.985, 0.727)
Ga (0.444, 0.444, 0.437)
Ga (0.556, 0.556, 0.563)
Cl (0.132, 0.132, 0.219)
Cl (0.227, 0.227, 0.663)
Cl (0.500, 0.500, 0.000)
Cl (0.773, 0.773, 0.337)
Cl (0.868, 0.868, 0.781)

***

[3]
Starting from DFT lattice parameters and positions (PBE), the XRD peak list of K3Bi4O8 was computed for λ = 1.5418 Å (Cu Kα).
No peak broadening, texture or thermal motion is included.

Largest 10 diffraction maxima, by angle, 2θ = 10–80°:
- 14.85°, rel. 100
- 17.17°, rel. 19
- 17.53°, rel. 30
- 24.36°, rel. 27
- 29.96°, rel. 84
- 30.39°, rel. 79
- 34.72°, rel. 97
- 35.49°, rel. 46
- 49.93°, rel. 49
- 50.48°, rel. 32

Unit cell a=7.234 b=7.234 c=7.154 alpha=118.95 beta=118.95 gamma=91.25
Fractional positions:
K (0.000, 0.000, 0.000)
K (0.000, 0.500, 0.000)
K (0.500, 0.000, 0.000)
Bi (0.000, 0.500, 0.500)
Bi (0.500, 0.000, 0.500)
Bi (0.500, 0.500, 0.000)
Bi (0.500, 0.500, 0.500)
O (0.266, 0.734, 0.000)
O (0.271, 0.271, 0.517)
O (0.275, 0.725, 0.500)
O (0.307, 0.307, 0.076)
O (0.693, 0.693, 0.924)
O (0.725, 0.275, 0.500)
O (0.729, 0.729, 0.483)
O (0.734, 0.266, 0.000)